Calculated powder X-ray diffraction pattern of Ca2Mn3O8 for CuKα, from the GGA+U geometry in the Materials Project.
Lines closer than 0.1° are merged.

Cell and atoms:
abc: 5.9828 5.9828 10.5422
angles: 90.00 90.00 120.00
Space group P6_3mc (No. 186)
One atom of each set of equivalent atoms:
Ca 0.3333 0.6667 0.0000 x2
Ca 0.3333 0.6667 0.4040 x2
Mn 0.1644 0.3288 0.7192 x6
O 0.0000 0.0000 0.3148 x2
O 0.0442 0.5221 0.8209 x6
O 0.1544 0.3088 0.1285 x6
O 0.3333 0.6667 0.6224 x2

Top 6 peaks for 10 to 90 degrees two-theta, sorted by position:
16.82°, I = 100; 24.08°, I = 54; 30.74°, I = 54; 34.47°, I = 64; 35.69°, I = 57; 56.25°, I = 60